Structure and theoretical powder XRD pattern of Th3Pt5 (the PBE geometry in the Materials Project; Cu Kα).
Peak positions follow from Bragg's law for the DFT cell and can differ from measured ones.

Peak list (10 most intense, 2θ from 10° to 90°, in order of rising 2θ)
2theta, intensity
34.05, 100
35.62, 20
36.69, 13
40.59, 51
43.81, 19
50.57, 13
53.98, 18
66.36, 11
66.76, 24
69.67, 20

Cell and atoms:
abc: 7.7000 7.7000 3.6099
angles: 90.00 90.00 120.00
Fractional coordinates of all 8 atoms:
Th 0.0000 0.2742 0.0000
Th 0.2742 0.0000 0.0000
Th 0.7258 0.7258 0.0000
Pt 0.0000 0.6593 0.5000
Pt 0.3333 0.6667 0.0000
Pt 0.3407 0.3407 0.5000
Pt 0.6593 0.0000 0.5000
Pt 0.6667 0.3333 0.0000

=====

Structure and theoretical powder XRD pattern of TbErTi2Fe22 (the PBE geometry in the Materials Project; Cu Kα).
Peak positions follow from Bragg's law for the DFT cell and can differ from measured ones.

Peak list (10 most intense, 2θ from 10° to 90°, in order of rising 2θ)
2theta, intensity
30.29, 41
33.49, 15
37.15, 45
38.20, 16
42.74, 60
43.06, 100
43.99, 69
49.23, 23
72.40, 20
78.48, 19

Cell and atoms:
abc: 6.4309 6.4309 11.9684
angles: 90.09 90.09 42.98
Fractional coordinates of all 26 atoms:
Tb 0.0000 0.0000 0.0000
Er 0.5003 0.5003 0.5001
Ti 0.3133 0.3133 0.6864
Ti 0.8133 0.8133 0.1874
Fe 0.1060 0.1060 0.6125
Fe 0.1120 0.1120 0.3883
Fe 0.1738 0.1738 0.8258
Fe 0.1755 0.1755 0.1820
Fe 0.2484 0.7477 0.2537
Fe 0.2482 0.7480 0.7523
Fe 0.3190 0.3190 0.3255
Fe 0.3844 0.3844 0.1162
Fe 0.3863 0.3863 0.8925
Fe 0.4968 0.9973 0.0020
Fe 0.4975 0.9967 0.5020
Fe 0.6072 0.6072 0.1144
Fe 0.6129 0.6129 0.8867
Fe 0.6737 0.6737 0.3270
Fe 0.6753 0.6753 0.6806
Fe 0.7477 0.2484 0.2537
Fe 0.7480 0.2482 0.7523
Fe 0.8188 0.8188 0.8243
Fe 0.8854 0.8854 0.6145
Fe 0.8876 0.8876 0.3946
Fe 0.9973 0.4968 0.0020
Fe 0.9967 0.4975 0.5020